# Gd5Bi3
Computed X-ray diffraction stick pattern, Cu Ka. Input: a DFT-relaxed cell (PBE, OQMD).

Structural model:
```
data_Gd5Bi3
_chemical_formula_sum 'Gd10 Bi6'
_symmetry_space_group_name_H-M 'P 63/m c m'
_symmetry_Int_Tables_number 193
_symmetry_space_group_name_Hall '-P 6c 2'
_cell_length_a 9.2443
_cell_length_b 9.2443
_cell_length_c 6.4080
_cell_angle_alpha 90.00
_cell_angle_beta 90.00
_cell_angle_gamma 120.00
loop_
_atom_site_label
_atom_site_fract_x
_atom_site_fract_y
_atom_site_fract_z
Gd1 0.0000 0.2430 0.2500
Gd2 0.3333 0.6667 0.0000
Bi1 0.0000 0.3900 0.7500
```

Largest 10 diffraction maxima, by intensity, 10° ≤ 2θ ≤ 90°:
(hkl)  2θ/deg  I (rel.)
2 1 1  32.7  100.0
1 1 2  34.0  72.9
3 0 0  33.6  48.8
2 1 3  52.4  31.7
2 1 0  29.5  23.4
0 0 2  27.8  22.9
5 0 2  65.1  20.6
3 1 1  43.1  18.9
2 2 2  48.6  17.1
0 0 4  57.5  17.0